# 1
Diffraction record for Sr2LaTi2Nb3O15. The X-ray diffraction stick pattern is computed, not measured: it uses a crystal structure in the Materials Project, relaxed with GGA-PBE and Cu Kα (weighted mean of Kα1 and Kα2).
Neutral-atom scattering factors, no anomalous dispersion.

Structure:
```
data_Sr2LaTi2Nb3O15
_chemical_formula_sum 'Sr4 La2 Ti4 Nb6 O30'
_symmetry_space_group_name_H-M 'P b a m'
_symmetry_Int_Tables_number 55
_cell_length_a 12.4402
_cell_length_b 12.5313
_cell_length_c 3.9601
_cell_angle_alpha 90.00
_cell_angle_beta 90.00
_cell_angle_gamma 90.00
loop_
_symmetry_equiv_pos_as_xyz
'x,y,z'
'-x,-y,-z'
'-x,-y,z'
'x,y,-z'
'x+1/2,-y+1/2,-z'
'-x+1/2,y+1/2,z'
'-x+1/2,y+1/2,-z'
'x+1/2,-y+1/2,z'
loop_
_atom_site_label
_atom_site_type_symbol
_atom_site_fract_x
_atom_site_fract_y
_atom_site_fract_z
Sr1 Sr 0.1699 0.1683 0.0000
La1 La 0.0000 0.5000 0.0000
Ti1 Ti 0.2114 0.4215 0.5000
Nb1 Nb 0.0000 0.0000 0.5000
Nb2 Nb 0.0803 0.7111 0.5000
O1 O 0.0000 0.0000 0.0000
O2 O 0.0130 0.1604 0.5000
O3 O 0.0617 0.3687 0.5000
O4 O 0.0798 0.6996 0.0000
O5 O 0.1344 0.5627 0.5000
O6 O 0.1601 0.0070 0.5000
O7 O 0.1970 0.4221 0.0000
O8 O 0.2285 0.7728 0.5000
```

Most intense lines, 10 to 80 degrees two-theta, by angle:
d/Å  two_theta  Rel. int.  index
6.220  14.2  17  2 0 0
3.463  25.7  20  2 3 0
3.229  27.6  40  2 1 1
3.038  29.4  18  1 4 0
3.018  29.6  23  4 1 0
2.947  30.3  21  2 2 1
2.797  32.0  100  1 3 1
2.786  32.1  17  4 2 0
1.980  45.8  30  0 0 2
1.617  57.0  15  1 7 1

---

# 2
Diffraction record for ZrTiCr4. The X-ray diffraction stick pattern is computed, not measured: it uses a crystal structure in the Materials Project, relaxed with GGA-PBE and Cu Kα (weighted mean of Kα1 and Kα2).
Neutral-atom scattering factors, no anomalous dispersion.

Structure:
```
data_ZrTiCr4
_chemical_formula_sum 'Zr2 Ti2 Cr8'
_symmetry_space_group_name_H-M 'P -3 m 1'
_symmetry_Int_Tables_number 164
_symmetry_space_group_name_Hall '-P 3 2"'
_cell_length_a 5.0008
_cell_length_b 5.0008
_cell_length_c 7.9520
_cell_angle_alpha 90.00
_cell_angle_beta 90.00
_cell_angle_gamma 120.00
loop_
_atom_site_label
_atom_site_type_symbol
_atom_site_fract_x
_atom_site_fract_y
_atom_site_fract_z
Zr1 Zr 0.3333 0.6667 0.0649
Ti1 Ti 0.3333 0.6667 0.4440
Cr1 Cr 0.0000 0.0000 0.0000
Cr2 Cr 0.0000 0.0000 0.5000
Cr3 Cr 0.1691 0.3382 0.7406
```

Most intense lines, 10 to 80 degrees two-theta, by angle:
d/Å  two_theta  Rel. int.  index
2.500  35.9  39  1 1 0
2.261  39.9  73  1 0 3
2.165  41.7  12  2 0 0
2.117  42.7  100  1 1 2
2.089  43.3  77  0 2 1
1.988  45.6  14  0 0 4
1.393  67.2  26  1 2 3
1.357  69.2  21  3 0 2
1.282  73.9  25  2 0 5
1.250  76.1  23  2 2 0

---

# 3
Diffraction record for Sr2SmSbO6. The X-ray diffraction stick pattern is computed, not measured: it uses a crystal structure in the Materials Project, relaxed with GGA-PBE and Cu Kα (weighted mean of Kα1 and Kα2).
Neutral-atom scattering factors, no anomalous dispersion.

Structure:
```
data_Sr2SmSbO6
_chemical_formula_sum 'Sr4 Sm2 Sb2 O12'
_symmetry_space_group_name_H-M 'P 1 21/c 1'
_symmetry_Int_Tables_number 14
_cell_length_a 5.8905
_cell_length_b 6.0056
_cell_length_c 10.2324
_cell_angle_alpha 90.00
_cell_angle_beta 124.83
_cell_angle_gamma 90.00
loop_
_symmetry_equiv_pos_as_xyz
'x,y,z'
'-x,-y,-z'
'-x,y+1/2,-z+1/2'
'x,-y+1/2,z+1/2'
loop_
_atom_site_label
_atom_site_type_symbol
_atom_site_fract_x
_atom_site_fract_y
_atom_site_fract_z
Sr1 Sr 0.2386 0.0426 0.2495
Sm1 Sm 0.5000 0.0000 0.0000
Sb1 Sb 0.0000 0.0000 0.5000
O1 O 0.1388 0.2242 0.9512
O2 O 0.2296 0.6925 0.9548
O3 O 0.3203 0.0288 0.7320
```

Most intense lines, 10 to 80 degrees two-theta, by angle:
d/Å  two_theta  Rel. int.  index
4.204  21.1  33  1 1 -1
3.003  29.8  48  0 2 0
2.977  30.0  100  1 1 1
2.966  30.1  100  1 1 -3
2.945  30.3  47  2 0 -2
2.102  43.0  78  0 0 4
1.728  53.0  35  1 3 -3
1.721  53.2  22  0 2 4
1.709  53.6  22  3 1 -1
1.702  53.9  24  3 1 -5

---

# 4
Diffraction record for Cr2S3. The X-ray diffraction stick pattern is computed, not measured: it uses a crystal structure in the Materials Project, relaxed with GGA-PBE and Cu Kα (weighted mean of Kα1 and Kα2).
Neutral-atom scattering factors, no anomalous dispersion.

Structure:
```
data_Cr2S3
_chemical_formula_sum 'Cr8 S12'
_symmetry_space_group_name_H-M 'P -3 1 c'
_symmetry_Int_Tables_number 163
_symmetry_space_group_name_Hall '-P 3 2c'
_cell_length_a 6.0259
_cell_length_b 6.0259
_cell_length_c 11.2650
_cell_angle_alpha 90.00
_cell_angle_beta 90.00
_cell_angle_gamma 120.00
loop_
_atom_site_label
_atom_site_type_symbol
_atom_site_fract_x
_atom_site_fract_y
_atom_site_fract_z
Cr1 Cr 0.0000 0.0000 0.0000
Cr2 Cr 0.3333 0.6667 0.0175
Cr3 Cr 0.3333 0.6667 0.7500
S1 S 0.0217 0.3462 0.8835
```

Most intense lines, 10 to 80 degrees two-theta, by angle:
d/Å  two_theta  Rel. int.  index
5.633  15.7  47  0 0 2
4.735  18.7  24  1 0 1
3.048  29.3  16  1 0 3
3.013  29.7  24  1 1 0
2.657  33.7  92  1 1 2
2.143  42.2  12  2 0 3
2.057  44.0  100  1 1 4
1.740  52.6  50  3 0 0
1.593  57.9  17  2 -1 6
1.328  71.0  20  4 -2 4

---

# 5
Diffraction record for Li10SiP2Se12. The X-ray diffraction stick pattern is computed, not measured: it uses a crystal structure in the Materials Project, relaxed with GGA-PBE and Cu Kα (weighted mean of Kα1 and Kα2).
Neutral-atom scattering factors, no anomalous dispersion.

Structure:
```
data_Li10SiP2Se12
_chemical_formula_sum 'Li20 Si2 P4 Se24'
_symmetry_space_group_name_H-M 'P 42 m c'
_symmetry_Int_Tables_number 105
_cell_length_a 9.2635
_cell_length_b 9.2635
_cell_length_c 13.3097
_cell_angle_alpha 90.00
_cell_angle_beta 90.00
_cell_angle_gamma 90.00
loop_
_symmetry_equiv_pos_as_xyz
'x,y,z'
'-y,x,z+1/2'
'-x,-y,z'
'y,-x,z+1/2'
'-x,y,z'
'y,x,z+1/2'
'x,-y,z'
'-y,-x,z+1/2'
loop_
_atom_site_label
_atom_site_type_symbol
_atom_site_fract_x
_atom_site_fract_y
_atom_site_fract_z
Li1 Li 0.0000 0.0000 0.0000
Li2 Li 0.2261 0.2679 0.2488
Li3 Li 0.2273 0.2403 0.9882
Li4 Li 0.5000 0.5000 0.3950
Si1 Si 0.0000 0.0000 0.2547
P1 P 0.0000 0.5000 0.4576
P2 P 0.5000 0.5000 0.1392
Se1 Se 0.0000 0.2022 0.1544
Se2 Se 0.0000 0.2067 0.8533
Se3 Se 0.0000 0.3059 0.5554
Se4 Se 0.1997 0.5000 0.3626
Se5 Se 0.2973 0.5000 0.0465
Se6 Se 0.3023 0.5000 0.7329
```

Most intense lines, 10 to 80 degrees two-theta, by angle:
d/Å  two_theta  Rel. int.  index
4.668  19.0  12  1 1 2
3.956  22.5  15  2 1 1
3.517  25.3  10  2 1 2
3.275  27.2  36  2 2 0
3.204  27.8  100  2 0 3
2.316  38.9  20  4 0 0
2.034  44.6  19  3 2 4
1.877  48.5  16  4 2 3
1.836  49.7  16  2 2 6
1.619  56.9  11  3 0 7

---

# 6
Diffraction record for InPH4O6. The X-ray diffraction stick pattern is computed, not measured: it uses a crystal structure in the Materials Project, relaxed with GGA-PBE and Cu Kα (weighted mean of Kα1 and Kα2).
Neutral-atom scattering factors, no anomalous dispersion.

Structure:
```
data_InPH4O6
_chemical_formula_sum 'In4 P4 H16 O24'
_symmetry_space_group_name_H-M 'P 1 21/c 1'
_symmetry_Int_Tables_number 14
_cell_length_a 5.5032
_cell_length_b 10.3746
_cell_length_c 10.4028
_cell_angle_alpha 90.00
_cell_angle_beta 120.60
_cell_angle_gamma 90.00
loop_
_symmetry_equiv_pos_as_xyz
'x,y,z'
'-x,-y,-z'
'-x,y+1/2,-z+1/2'
'x,-y+1/2,z+1/2'
loop_
_atom_site_label
_atom_site_type_symbol
_atom_site_fract_x
_atom_site_fract_y
_atom_site_fract_z
In1 In 0.1048 0.1703 0.1986
P1 P 0.2741 0.6495 0.6829
H1 H 0.1235 0.0456 0.7765
H2 H 0.3397 0.1652 0.5173
H3 H 0.3974 0.5434 0.3134
H4 H 0.4229 0.6644 0.0256
O1 O 0.0756 0.6675 0.7479
O2 O 0.1580 0.7220 0.5323
O3 O 0.1960 0.5450 0.2889
O4 O 0.2951 0.5016 0.6626
O5 O 0.3820 0.1352 0.4397
O6 O 0.4300 0.2053 0.7041
```

Most intense lines, 10 to 80 degrees two-theta, by angle:
d/Å  two_theta  Rel. int.  index
5.187  17.1  37  0 2 0
4.861  18.3  54  1 1 -1
4.737  18.7  29  1 0 0
4.479  19.8  100  0 0 2
4.236  21.0  43  1 1 -2
3.774  23.6  34  1 2 -1
2.928  30.5  58  1 3 -1
2.868  31.2  24  0 1 3
2.659  33.7  30  2 1 -2
2.437  36.9  24  1 3 -3